[1]
Diffraction record for Cu23Pd6Pt. The powder XRD pattern is computed, not measured: it uses DFT lattice parameters and positions (PBE) and λ = 1.5418 Å (Cu Kα).

```
data_Cu23Pd6Pt
_chemical_formula_sum 'Cu92 Pd24 Pt4'
_cell_length_a 11.655
_cell_length_b 11.655
_cell_length_c 11.655
_cell_angle_alpha 90.00
_cell_angle_beta 90.00
_cell_angle_gamma 90.00
_space_group_name_H-M_alt 'F m -3 m'
_space_group_IT_number 225
_space_group_name_Hall '-F 4 2 3'
loop_
_atom_site_label
_atom_site_fract_x
_atom_site_fract_y
_atom_site_fract_z
Cu1 0.000 0.000 0.000
Cu2 0.000 0.250 0.250
Cu3 0.134 0.134 0.366
Cu4 0.137 0.137 0.137
Pd1 0.000 0.000 0.246
Pt1 0.000 0.000 0.500
```

Main lines, most intense first (2θ = 10–90°):
2.060 Å, rel. 100, (4 4 0)
1.190 Å, rel. 27, (8 4 4)
2.606 Å, rel. 16, (4 2 0)
1.457 Å, rel. 14, (8 0 0)
1.413 Å, rel. 6, (6 4 4)
1.943 Å, rel. 6, (6 0 0)
5.828 Å, rel. 5, (2 0 0)
1.272 Å, rel. 3, (8 4 2)
6.729 Å, rel. 3, (1 1 1)
1.166 Å, rel. 3, (8 6 0)
3.514 Å, rel. 2, (3 1 1)
2.914 Å, rel. 2, (4 0 0)

[2]
Diffraction record for Cu5Pd2Pt. The powder XRD pattern is computed, not measured: it uses DFT lattice parameters and positions (PBE) and λ = 1.5418 Å (Cu Kα).

```
data_Cu5Pd2Pt
_chemical_formula_sum 'Cu10 Pd4 Pt2'
_cell_length_a 3.846
_cell_length_b 3.846
_cell_length_c 14.474
_cell_angle_alpha 90.00
_cell_angle_beta 90.00
_cell_angle_gamma 90.00
_space_group_name_H-M_alt 'I 4/m m m'
_space_group_IT_number 139
_space_group_name_Hall '-I 4 2'
loop_
_atom_site_label
_atom_site_fract_x
_atom_site_fract_y
_atom_site_fract_z
Cu1 0.000 0.000 0.000
Cu2 0.000 0.500 0.122
Pd1 0.000 0.000 0.250
Pt1 0.000 0.000 0.500
```

Main lines, most intense first (2θ = 10–90°):
2.174 Å, rel. 100, (1 1 4)
1.923 Å, rel. 34, (2 0 0)
1.153 Å, rel. 24, (3 1 4)
1.318 Å, rel. 19, (2 0 8)
1.809 Å, rel. 14, (0 0 8)
3.717 Å, rel. 11, (1 0 1)
1.103 Å, rel. 11, (1 1 12)
1.360 Å, rel. 10, (2 2 0)
3.619 Å, rel. 7, (0 0 4)
2.719 Å, rel. 7, (1 1 0)
3.007 Å, rel. 6, (1 0 3)
1.698 Å, rel. 4, (2 0 4)

[3]
Diffraction record for CuPd5Pt3. The powder XRD pattern is computed, not measured: it uses DFT lattice parameters and positions (PBE) and λ = 1.5418 Å (Cu Kα).

```
data_CuPd5Pt3
_chemical_formula_sum 'Cu4 Pd20 Pt12'
_cell_length_a 6.574
_cell_length_b 6.574
_cell_length_c 13.998
_cell_angle_alpha 90.00
_cell_angle_beta 90.00
_cell_angle_gamma 90.00
_space_group_name_H-M_alt 'I 4/m c m'
_space_group_IT_number 140
_space_group_name_Hall '-I 4 2c'
loop_
_atom_site_label
_atom_site_fract_x
_atom_site_fract_y
_atom_site_fract_z
Cu1 0.000 0.500 0.250
Pd1 0.000 0.000 0.000
Pd2 0.223 0.277 0.152
Pt1 0.000 0.000 0.250
Pt2 0.128 0.372 0.500
```

Main lines, most intense first (2θ = 10–90°):
2.396 Å, rel. 100, (2 0 4)
2.487 Å, rel. 84, (2 1 3)
2.324 Å, rel. 58, (2 2 0)
2.079 Å, rel. 32, (3 1 0)
1.787 Å, rel. 30, (3 1 4)
1.902 Å, rel. 29, (2 0 6)
1.355 Å, rel. 28, (4 2 4)
3.872 Å, rel. 28, (1 1 2)
2.877 Å, rel. 27, (2 1 1)
1.600 Å, rel. 27, (4 0 2)
3.499 Å, rel. 26, (0 0 4)
1.808 Å, rel. 20, (3 2 1)